# 1
For CaCoSn6, DFT lattice parameters and positions (GGA-PBE) gives the theoretical powder X-ray diffraction pattern in this record (Cu Kα (weighted mean of Kα1 and Kα2)).
Lines closer than 0.1° are merged.

Peak list (6 most intense, 10 to 80 degrees two-theta, low angle first)
| 2θ (°) | intensity |
| --- | --- |
| 33.61 | 100 |
| 34.32 | 14 |
| 37.97 | 11 |
| 42.39 | 17 |
| 44.21 | 12 |
| 60.01 | 13 |

Atomic structure:
a = 4.265 Å, b = 8.872 Å, c = 10.690 Å
α = 90.00°, β = 90.00°, γ = 90.00°
Fractional positions:
Ca: 0.000 0.000 0.000
Ca: 0.000 0.500 0.500
Co: 0.000 0.000 0.629
Co: 0.000 0.500 0.129
Sn: 0.000 0.243 0.253
Sn: 0.000 0.257 0.753
Sn: 0.000 0.743 0.753
Sn: 0.000 0.757 0.253
Sn: 0.500 0.000 0.240
Sn: 0.500 0.000 0.778
Sn: 0.500 0.173 0.509
Sn: 0.500 0.327 0.009
Sn: 0.500 0.500 0.278
Sn: 0.500 0.500 0.740
Sn: 0.500 0.673 0.009
Sn: 0.500 0.827 0.509

# 2
For SrCaCo2, DFT lattice parameters and positions (GGA-PBE) gives the theoretical powder X-ray diffraction pattern in this record (Cu Kα (weighted mean of Kα1 and Kα2)).
Lines closer than 0.1° are merged.

Peak list (6 most intense, 10 to 80 degrees two-theta, low angle first)
| 2θ (°) | intensity |
| --- | --- |
| 15.08 | 38 |
| 30.02 | 58 |
| 34.39 | 100 |
| 39.37 | 28 |
| 45.47 | 29 |
| 61.68 | 22 |

Atomic structure:
a = 3.771 Å, b = 4.578 Å, c = 11.753 Å
α = 90.00°, β = 90.00°, γ = 90.00°
Fractional positions:
Sr: 0.000 0.000 0.000
Sr: 0.500 0.500 0.500
Ca: 0.000 0.500 0.762
Ca: 0.500 0.000 0.262
Co: 0.000 0.000 0.605
Co: 0.000 0.500 0.204
Co: 0.500 0.000 0.704
Co: 0.500 0.500 0.105

# 3
For CaCoTe, DFT lattice parameters and positions (GGA-PBE) gives the theoretical powder X-ray diffraction pattern in this record (Cu Kα (weighted mean of Kα1 and Kα2)).
Lines closer than 0.1° are merged.

Peak list (6 most intense, 10 to 80 degrees two-theta, low angle first)
| 2θ (°) | intensity |
| --- | --- |
| 20.46 | 57 |
| 26.31 | 25 |
| 31.88 | 100 |
| 42.56 | 63 |
| 47.66 | 36 |
| 61.03 | 41 |

Atomic structure:
a = 8.682 Å, b = 4.255 Å, c = 7.349 Å
α = 90.00°, β = 90.00°, γ = 90.00°
Fractional positions:
Ca: 0.000 0.250 0.249
Ca: 0.000 0.750 0.751
Ca: 0.500 0.250 0.251
Ca: 0.500 0.750 0.749
Co: 0.250 0.250 0.583
Co: 0.250 0.750 0.083
Co: 0.750 0.250 0.917
Co: 0.750 0.750 0.417
Te: 0.249 0.750 0.416
Te: 0.251 0.250 0.916
Te: 0.749 0.750 0.084
Te: 0.751 0.250 0.584

# 4
For Ca4CoTe, DFT lattice parameters and positions (GGA-PBE) gives the theoretical powder X-ray diffraction pattern in this record (Cu Kα (weighted mean of Kα1 and Kα2)).
Lines closer than 0.1° are merged.

Peak list (6 most intense, 10 to 80 degrees two-theta, low angle first)
| 2θ (°) | intensity |
| --- | --- |
| 27.31 | 54 |
| 32.14 | 100 |
| 33.61 | 20 |
| 48.27 | 22 |
| 51.40 | 33 |
| 56.34 | 24 |

Atomic structure:
a = 6.532 Å, b = 6.532 Å, c = 6.532 Å
α = 60.00°, β = 60.00°, γ = 60.00°
Fractional positions:
Ca: 0.125 0.125 0.125
Ca: 0.125 0.125 0.626
Ca: 0.125 0.626 0.125
Ca: 0.626 0.125 0.125
Co: 0.750 0.750 0.750
Te: 0.500 0.500 0.500

# 5
For CaCoW2, DFT lattice parameters and positions (GGA-PBE) gives the theoretical powder X-ray diffraction pattern in this record (Cu Kα (weighted mean of Kα1 and Kα2)).
Lines closer than 0.1° are merged.

Peak list (6 most intense, 10 to 80 degrees two-theta, low angle first)
| 2θ (°) | intensity |
| --- | --- |
| 16.48 | 45 |
| 20.36 | 24 |
| 31.19 | 36 |
| 37.69 | 35 |
| 42.05 | 100 |
| 46.28 | 27 |

Atomic structure:
a = 2.689 Å, b = 4.773 Å, c = 10.760 Å
α = 90.00°, β = 90.00°, γ = 90.00°
Fractional positions:
Ca: 0.000 0.000 0.000
Ca: 0.500 0.500 0.500
Co: 0.000 0.000 0.500
Co: 0.500 0.500 0.000
W: 0.000 0.500 0.203
W: 0.000 0.500 0.797
W: 0.500 0.000 0.297
W: 0.500 0.000 0.703

# 6
For CaZn8Co4, DFT lattice parameters and positions (GGA-PBE) gives the theoretical powder X-ray diffraction pattern in this record (Cu Kα (weighted mean of Kα1 and Kα2)).
Lines closer than 0.1° are merged.

Peak list (6 most intense, 10 to 80 degrees two-theta, low angle first)
| 2θ (°) | intensity |
| --- | --- |
| 20.50 | 13 |
| 35.91 | 27 |
| 41.70 | 100 |
| 46.90 | 87 |
| 72.34 | 12 |
| 76.11 | 30 |

Atomic structure:
a = 6.618 Å, b = 6.618 Å, c = 6.618 Å
α = 98.21°, β = 98.21°, γ = 135.60°
Fractional positions:
Ca: 0.000 0.000 0.000
Zn: 0.000 0.336 0.336
Zn: 0.000 0.664 0.664
Zn: 0.272 0.500 0.772
Zn: 0.336 0.000 0.336
Zn: 0.500 0.272 0.772
Zn: 0.500 0.728 0.228
Zn: 0.664 0.000 0.664
Zn: 0.728 0.500 0.228
Co: 0.000 0.000 0.500
Co: 0.000 0.500 0.000
Co: 0.500 0.000 0.000
Co: 0.500 0.500 0.500

# 7
For Ca4Cr, DFT lattice parameters and positions (GGA-PBE) gives the theoretical powder X-ray diffraction pattern in this record (Cu Kα (weighted mean of Kα1 and Kα2)).
Lines closer than 0.1° are merged.

Peak list (6 most intense, 10 to 80 degrees two-theta, low angle first)
| 2θ (°) | intensity |
| --- | --- |
| 16.95 | 36 |
| 24.06 | 35 |
| 29.57 | 18 |
| 34.28 | 100 |
| 49.26 | 16 |
| 61.39 | 31 |

Atomic structure:
a = 7.399 Å, b = 7.399 Å, c = 7.399 Å
α = 90.00°, β = 90.00°, γ = 90.00°
Fractional positions:
Ca: 0.250 0.250 0.250
Ca: 0.250 0.250 0.750
Ca: 0.250 0.750 0.250
Ca: 0.250 0.750 0.750
Ca: 0.750 0.250 0.250
Ca: 0.750 0.250 0.750
Ca: 0.750 0.750 0.250
Ca: 0.750 0.750 0.750
Cr: 0.000 0.000 0.000
Cr: 0.500 0.500 0.500

# 8
For CaCr2Cu, DFT lattice parameters and positions (GGA-PBE) gives the theoretical powder X-ray diffraction pattern in this record (Cu Kα (weighted mean of Kα1 and Kα2)).
Lines closer than 0.1° are merged.

Peak list (6 most intense, 10 to 80 degrees two-theta, low angle first)
| 2θ (°) | intensity |
| --- | --- |
| 16.88 | 92 |
| 33.41 | 82 |
| 37.66 | 44 |
| 42.78 | 100 |
| 46.30 | 38 |
| 55.83 | 26 |

Atomic structure:
a = 4.227 Å, b = 4.227 Å, c = 15.760 Å
α = 90.00°, β = 90.00°, γ = 120.00°
Fractional positions:
Ca: 0.000 0.000 0.000
Ca: 0.333 0.667 0.667
Ca: 0.667 0.333 0.333
Cr: 0.000 0.000 0.488
Cr: 0.000 0.000 0.803
Cr: 0.333 0.667 0.155
Cr: 0.333 0.667 0.470
Cr: 0.667 0.333 0.137
Cr: 0.667 0.333 0.821
Cu: 0.000 0.000 0.205
Cu: 0.333 0.667 0.871
Cu: 0.667 0.333 0.538

# 9
For Ca2ErCrN4, DFT lattice parameters and positions (GGA-PBE) gives the theoretical powder X-ray diffraction pattern in this record (Cu Kα (weighted mean of Kα1 and Kα2)).
Lines closer than 0.1° are merged.

Peak list (6 most intense, 10 to 80 degrees two-theta, low angle first)
| 2θ (°) | intensity |
| --- | --- |
| 13.15 | 56 |
| 21.83 | 41 |
| 28.10 | 82 |
| 31.83 | 84 |
| 33.21 | 100 |
| 35.11 | 59 |

Atomic structure:
a = 7.202 Å, b = 6.734 Å, c = 5.111 Å
α = 90.00°, β = 90.00°, γ = 90.00°
Fractional positions:
Ca: 0.245 0.163 0.000
Ca: 0.255 0.837 0.500
Ca: 0.745 0.837 0.500
Ca: 0.755 0.163 0.000
Er: 0.000 0.367 0.508
Er: 0.500 0.633 0.008
Cr: 0.000 0.672 0.046
Cr: 0.500 0.328 0.546
N: 0.000 0.407 0.967
N: 0.000 0.673 0.392
N: 0.220 0.801 0.975
N: 0.280 0.199 0.475
N: 0.500 0.327 0.892
N: 0.500 0.593 0.467
N: 0.720 0.199 0.475
N: 0.780 0.801 0.975